Computed powder diffractogram
Compound: BaTlFe2Cl8
Radiation: λ = 1.5418 Å (Cu Kα)
Structure: a structure optimized by DFT (GGA-PBE)

Crystal structure
Cell lengths 10.8178, 7.5621, 10.2970 Å; angles 90.00, 91.93, 90.00 degrees
Space group C2/m (No. 12)
Asymmetric unit:
1 Ba 0.0000 0.0000 0.0000 x2
2 Tl 0.0000 0.0000 0.5000 x2
3 Fe 0.1089 0.5000 0.7585 x4
4 Cl 0.0126 0.2539 0.2398 x8
5 Cl 0.2097 0.5000 0.5764 x4
6 Cl 0.2129 0.5000 0.9531 x4

Principal peaks in the range 2θ from 10° to 90°, by intensity:
| two_theta | intensity | (hkl) |
| --- | --- | --- |
| 22.67 | 100 | 1 1 2 |
| 22.24 | 94 | 1 1 -2 |
| 16.40 | 86 | 2 0 0 |
| 27.41 | 85 | 3 1 0 |
| 29.31 | 66 | 0 2 2 |
| 14.29 | 62 | 1 1 0 |
| 23.53 | 56 | 0 2 0 |
| 16.84 | 49 | 1 1 1 |
| 45.29 | 39 | 4 2 2 |
| 44.35 | 35 | 4 2 -2 |